Starting from DFT lattice parameters and positions (GGA+U), the powder XRD pattern of Mg2IrWO6 was computed for a wavelength of 1.5418 Å.

Atomic structure:
a b c (Å): 5.266 5.377 9.269
angles (deg): 90.00 124.29 90.00
Positions (direct):
Mg (0.235, 0.041, 0.242)
Mg (0.235, 0.459, 0.742)
Mg (0.765, 0.541, 0.258)
Mg (0.765, 0.959, 0.758)
Ir (0.000, 0.000, 0.500)
Ir (0.000, 0.500, 0.000)
W (0.500, 0.000, 0.000)
W (0.500, 0.500, 0.500)
O (0.126, 0.091, 0.753)
O (0.126, 0.409, 0.253)
O (0.236, 0.671, 0.556)
O (0.236, 0.829, 0.056)
O (0.409, 0.182, 0.579)
O (0.409, 0.318, 0.079)
O (0.591, 0.682, 0.921)
O (0.591, 0.818, 0.421)
O (0.764, 0.171, 0.944)
O (0.764, 0.329, 0.444)
O (0.874, 0.591, 0.747)
O (0.874, 0.909, 0.247)

Peak list (10 most intense, 10° ≤ 2θ ≤ 80°, sorted by position)
| d [Å] | intensity |
| --- | --- |
| 3.829 | 53 |
| 3.762 | 100 |
| 2.689 | 90 |
| 2.678 | 61 |
| 2.633 | 27 |
| 2.200 | 19 |
| 1.881 | 27 |
| 1.552 | 21 |
| 1.533 | 15 |
| 1.527 | 15 |

=====

Starting from DFT lattice parameters and positions (GGA+U), the powder XRD pattern of MnZn2IrO6 was computed for a wavelength of 1.5418 Å.

Atomic structure:
a b c (Å): 5.170 5.178 9.487
angles (deg): 90.00 122.69 90.00
Positions (direct):
Mn (0.000, 0.000, 0.000)
Mn (0.000, 0.500, 0.500)
Zn (0.251, 0.032, 0.746)
Zn (0.251, 0.468, 0.246)
Zn (0.749, 0.532, 0.754)
Zn (0.749, 0.968, 0.254)
Ir (0.500, 0.000, 0.500)
Ir (0.500, 0.500, 0.000)
O (0.112, 0.177, 0.438)
O (0.112, 0.323, 0.938)
O (0.254, 0.678, 0.426)
O (0.254, 0.822, 0.926)
O (0.389, 0.091, 0.268)
O (0.389, 0.409, 0.768)
O (0.611, 0.591, 0.232)
O (0.611, 0.909, 0.732)
O (0.746, 0.178, 0.074)
O (0.746, 0.322, 0.574)
O (0.888, 0.677, 0.062)
O (0.888, 0.823, 0.562)

Peak list (10 most intense, 10° ≤ 2θ ≤ 80°, sorted by position)
| d [Å] | intensity |
| --- | --- |
| 4.346 | 70 |
| 2.703 | 100 |
| 2.692 | 93 |
| 2.587 | 83 |
| 2.224 | 28 |
| 1.996 | 26 |
| 1.829 | 38 |
| 1.581 | 22 |
| 1.516 | 40 |
| 1.510 | 21 |

=====

Starting from DFT lattice parameters and positions (GGA+U), the powder XRD pattern of MoIrO6 was computed for a wavelength of 1.5418 Å.

Atomic structure:
a b c (Å): 5.274 5.353 9.193
angles (deg): 90.00 125.01 90.00
Positions (direct):
Mo (0.000, 0.000, 0.000)
Mo (0.000, 0.500, 0.500)
Ir (0.500, 0.000, 0.500)
Ir (0.500, 0.500, 0.000)
O (0.183, 0.213, 0.469)
O (0.183, 0.287, 0.969)
O (0.258, 0.716, 0.469)
O (0.258, 0.784, 0.969)
O (0.312, 0.007, 0.251)
O (0.312, 0.493, 0.751)
O (0.688, 0.507, 0.249)
O (0.688, 0.993, 0.749)
O (0.742, 0.216, 0.031)
O (0.742, 0.284, 0.531)
O (0.817, 0.713, 0.031)
O (0.817, 0.787, 0.531)

Peak list (10 most intense, 10° ≤ 2θ ≤ 80°, sorted by position)
| d [Å] | intensity |
| --- | --- |
| 4.363 | 7 |
| 4.320 | 7 |
| 3.760 | 100 |
| 2.676 | 9 |
| 2.659 | 34 |
| 2.637 | 8 |
| 1.879 | 12 |
| 1.682 | 26 |
| 1.541 | 11 |
| 1.527 | 8 |

=====

Starting from DFT lattice parameters and positions (GGA+U), the powder XRD pattern of Sr3NiIrO6 was computed for a wavelength of 1.5418 Å.

Atomic structure:
a b c (Å): 6.739 6.739 6.739
angles (deg): 91.72 91.72 91.72
Positions (direct):
Sr (0.114, 0.750, 0.386)
Sr (0.250, 0.614, 0.886)
Sr (0.386, 0.114, 0.750)
Sr (0.614, 0.886, 0.250)
Sr (0.750, 0.386, 0.114)
Sr (0.886, 0.250, 0.614)
Ni (0.250, 0.250, 0.250)
Ni (0.750, 0.750, 0.750)
Ir (0.000, 0.000, 0.000)
Ir (0.500, 0.500, 0.500)
O (0.036, 0.909, 0.712)
O (0.091, 0.288, 0.964)
O (0.212, 0.409, 0.536)
O (0.288, 0.964, 0.091)
O (0.409, 0.536, 0.212)
O (0.464, 0.788, 0.591)
O (0.536, 0.212, 0.409)
O (0.591, 0.464, 0.788)
O (0.712, 0.036, 0.909)
O (0.788, 0.591, 0.464)
O (0.909, 0.712, 0.036)
O (0.964, 0.091, 0.288)

Peak list (10 most intense, 10° ≤ 2θ ≤ 80°, sorted by position)
| d [Å] | intensity |
| --- | --- |
| 4.836 | 41 |
| 4.688 | 43 |
| 2.974 | 45 |
| 2.792 | 100 |
| 2.344 | 29 |
| 2.149 | 20 |
| 2.109 | 36 |
| 2.036 | 26 |
| 1.590 | 25 |
| 1.396 | 17 |

=====

Starting from DFT lattice parameters and positions (GGA+U), the powder XRD pattern of VIrO3 was computed for a wavelength of 1.5418 Å.

Atomic structure:
a b c (Å): 3.927 3.927 3.927
angles (deg): 90.00 90.00 90.00
Positions (direct):
V (0.000, 0.000, 0.000)
Ir (0.500, 0.500, 0.500)
O (0.000, 0.500, 0.500)
O (0.500, 0.000, 0.500)
O (0.500, 0.500, 0.000)

Peak list (9 most intense, 10° ≤ 2θ ≤ 80°, sorted by position)
| d [Å] | intensity |
| --- | --- |
| 3.927 | 59 |
| 2.777 | 100 |
| 2.267 | 6 |
| 1.964 | 30 |
| 1.756 | 26 |
| 1.603 | 39 |
| 1.389 | 18 |
| 1.309 | 12 |
| 1.242 | 17 |

=====

Starting from DFT lattice parameters and positions (GGA+U), the powder XRD pattern of KSrLa4Mn6O18 was computed for a wavelength of 1.5418 Å.

Atomic structure:
a b c (Å): 5.485 9.540 13.469
angles (deg): 90.23 90.20 90.55
Positions (direct):
K (0.247, 0.253, 0.250)
K (0.753, 0.747, 0.750)
Sr (0.255, 0.246, 0.750)
Sr (0.745, 0.754, 0.250)
La (0.247, 0.583, 0.417)
La (0.249, 0.920, 0.085)
La (0.251, 0.583, 0.916)
La (0.252, 0.913, 0.586)
La (0.748, 0.087, 0.414)
La (0.749, 0.417, 0.084)
La (0.751, 0.080, 0.915)
La (0.753, 0.417, 0.583)
Mn (0.249, 0.250, 0.000)
Mn (0.249, 0.919, 0.332)
Mn (0.250, 0.250, 0.499)
Mn (0.250, 0.584, 0.168)
Mn (0.251, 0.914, 0.831)
Mn (0.252, 0.583, 0.669)
Mn (0.748, 0.417, 0.331)
Mn (0.749, 0.086, 0.169)
Mn (0.750, 0.416, 0.832)
Mn (0.750, 0.750, 0.501)
Mn (0.751, 0.081, 0.668)
Mn (0.751, 0.750, 0.000)
O (0.010, 0.337, 0.413)
O (0.016, 0.140, 0.077)
O (0.024, 0.477, 0.751)
O (0.027, 0.809, 0.419)
O (0.028, 0.996, 0.735)
O (0.031, 0.667, 0.067)
O (0.239, 0.067, 0.435)
O (0.242, 0.414, 0.086)
O (0.246, 0.768, 0.235)
O (0.252, 0.733, 0.765)
O (0.257, 0.092, 0.907)
O (0.264, 0.430, 0.568)
O (0.471, 0.688, 0.577)
O (0.473, 0.837, 0.934)
O (0.475, 0.357, 0.917)
O (0.478, 0.515, 0.265)
O (0.484, 0.168, 0.593)
O (0.486, 0.014, 0.251)
O (0.514, 0.986, 0.749)
O (0.516, 0.832, 0.407)
O (0.522, 0.485, 0.735)
O (0.525, 0.643, 0.083)
O (0.527, 0.163, 0.066)
O (0.529, 0.312, 0.423)
O (0.736, 0.570, 0.432)
O (0.743, 0.908, 0.093)
O (0.748, 0.267, 0.235)
O (0.754, 0.232, 0.765)
O (0.758, 0.586, 0.914)
O (0.761, 0.933, 0.565)
O (0.969, 0.333, 0.933)
O (0.972, 0.004, 0.265)
O (0.973, 0.191, 0.581)
O (0.976, 0.523, 0.249)
O (0.984, 0.860, 0.923)
O (0.990, 0.663, 0.587)

Peak list (10 most intense, 10° ≤ 2θ ≤ 80°, sorted by position)
| d [Å] | intensity |
| --- | --- |
| 3.892 | 15 |
| 2.759 | 66 |
| 2.753 | 35 |
| 2.740 | 100 |
| 2.251 | 17 |
| 1.947 | 23 |
| 1.942 | 45 |
| 1.593 | 14 |
| 1.591 | 13 |
| 1.588 | 26 |

=====

Starting from DFT lattice parameters and positions (GGA+U), the powder XRD pattern of KLaNbWO6 was computed for a wavelength of 1.5418 Å.

Atomic structure:
a b c (Å): 5.805 5.805 5.805
angles (deg): 60.00 60.00 60.00
Positions (direct):
K (0.000, 0.000, 0.000)
La (0.500, 0.500, 0.500)
Nb (0.750, 0.750, 0.750)
W (0.250, 0.250, 0.250)
O (0.506, 0.506, 0.994)
O (0.506, 0.994, 0.506)
O (0.506, 0.994, 0.994)
O (0.994, 0.506, 0.506)
O (0.994, 0.506, 0.994)
O (0.994, 0.994, 0.506)

Peak list (10 most intense, 10° ≤ 2θ ≤ 80°, sorted by position)
| d [Å] | intensity |
| --- | --- |
| 4.740 | 19 |
| 4.105 | 12 |
| 2.902 | 100 |
| 2.475 | 12 |
| 2.052 | 31 |
| 1.883 | 6 |
| 1.836 | 5 |
| 1.676 | 40 |
| 1.451 | 19 |
| 1.298 | 17 |

=====

Starting from DFT lattice parameters and positions (GGA+U), the powder XRD pattern of KLaNi4O12 was computed for a wavelength of 1.5418 Å.

Atomic structure:
a b c (Å): 7.722 5.479 5.479
angles (deg): 90.43 90.00 90.00
Positions (direct):
K (0.000, 0.000, 0.000)
La (0.500, 0.505, 0.505)
Ni (0.246, 0.002, 0.501)
Ni (0.246, 0.501, 0.002)
Ni (0.754, 0.002, 0.501)
Ni (0.754, 0.501, 0.002)
O (0.000, 0.007, 0.497)
O (0.000, 0.497, 0.007)
O (0.258, 0.742, 0.742)
O (0.264, 0.271, 0.731)
O (0.264, 0.731, 0.271)
O (0.272, 0.260, 0.260)
O (0.500, 0.507, 0.989)
O (0.500, 0.989, 0.507)
O (0.728, 0.260, 0.260)
O (0.736, 0.271, 0.731)
O (0.736, 0.731, 0.271)
O (0.742, 0.742, 0.742)

Peak list (10 most intense, 10° ≤ 2θ ≤ 80°, sorted by position)
| d [Å] | intensity |
| --- | --- |
| 7.722 | 22 |
| 5.479 | 23 |
| 4.468 | 82 |
| 2.740 | 100 |
| 2.730 | 49 |
| 2.329 | 28 |
| 1.944 | 24 |
| 1.930 | 48 |
| 1.578 | 38 |
| 1.370 | 26 |

=====

Starting from DFT lattice parameters and positions (GGA+U), the powder XRD pattern of KLaTbNiO6 was computed for a wavelength of 1.5418 Å.

Atomic structure:
a b c (Å): 5.730 5.730 5.730
angles (deg): 60.00 60.00 60.00
Positions (direct):
K (0.000, 0.000, 0.000)
La (0.500, 0.500, 0.500)
Tb (0.750, 0.750, 0.750)
Ni (0.250, 0.250, 0.250)
O (0.021, 0.021, 0.479)
O (0.021, 0.479, 0.021)
O (0.021, 0.479, 0.479)
O (0.479, 0.021, 0.021)
O (0.479, 0.021, 0.479)
O (0.479, 0.479, 0.021)

Peak list (10 most intense, 10° ≤ 2θ ≤ 80°, sorted by position)
| d [Å] | intensity |
| --- | --- |
| 4.679 | 25 |
| 4.052 | 6 |
| 2.865 | 100 |
| 2.443 | 18 |
| 2.026 | 32 |
| 1.859 | 9 |
| 1.654 | 38 |
| 1.560 | 6 |
| 1.433 | 19 |
| 1.281 | 17 |

=====

Starting from DFT lattice parameters and positions (GGA+U), the powder XRD pattern of KLaNiWO6 was computed for a wavelength of 1.5418 Å.

Atomic structure:
a b c (Å): 5.643 5.643 5.643
angles (deg): 60.00 60.00 60.00
Positions (direct):
K (0.000, 0.000, 0.000)
La (0.500, 0.500, 0.500)
Ni (0.250, 0.250, 0.250)
W (0.750, 0.750, 0.750)
O (0.507, 0.507, 0.993)
O (0.507, 0.993, 0.507)
O (0.507, 0.993, 0.993)
O (0.993, 0.507, 0.507)
O (0.993, 0.507, 0.993)
O (0.993, 0.993, 0.507)

Peak list (10 most intense, 10° ≤ 2θ ≤ 80°, sorted by position)
| d [Å] | intensity |
| --- | --- |
| 4.607 | 34 |
| 3.990 | 8 |
| 2.821 | 100 |
| 2.406 | 19 |
| 1.995 | 32 |
| 1.831 | 8 |
| 1.629 | 39 |
| 1.536 | 7 |
| 1.411 | 19 |
| 1.262 | 17 |

=====

Q: What is the formula in the tenth record?
A: KLaNiWO6

=====

What did the ninth record say?
Starting from DFT lattice parameters and positions (GGA+U), the powder XRD pattern of KLaTbNiO6 was computed for a wavelength of 1.5418 Å.

Atomic structure:
a b c (Å): 5.730 5.730 5.730
angles (deg): 60.00 60.00 60.00
Positions (direct):
K (0.000, 0.000, 0.000)
La (0.500, 0.500, 0.500)
Tb (0.750, 0.750, 0.750)
Ni (0.250, 0.250, 0.250)
O (0.021, 0.021, 0.479)
O (0.021, 0.479, 0.021)
O (0.021, 0.479, 0.479)
O (0.479, 0.021, 0.021)
O (0.479, 0.021, 0.479)
O (0.479, 0.479, 0.021)

Peak list (10 most intense, 10° ≤ 2θ ≤ 80°, sorted by position)
| d [Å] | intensity |
| --- | --- |
| 4.679 | 25 |
| 4.052 | 6 |
| 2.865 | 100 |
| 2.443 | 18 |
| 2.026 | 32 |
| 1.859 | 9 |
| 1.654 | 38 |
| 1.560 | 6 |
| 1.433 | 19 |
| 1.281 | 17 |